# Pr4GaTe
Calculated X-ray powder pattern, a wavelength of 1.5418 Å. Input: a DFT-relaxed cell (PBE, Alexandria).
Neutral-atom scattering factors, no anomalous dispersion.

Cell and atoms:
Lattice parameters (Å, degrees): 7.7645 4.6975 20.8215 90.00 90.00 90.00
Space group Pnma (No. 62)
Asymmetric unit:
Pr1 0.0322 0.2500 0.0707 x4
Pr2 0.0732 0.2500 0.7884 x4
Pr3 0.0876 0.2500 0.3628 x4
Pr4 0.1473 0.2500 0.5391 x4
Ga1 0.2327 0.2500 0.9350 x4
Te1 0.2189 0.2500 0.2118 x4

Main lines, most intense first (5° ≤ 2θ ≤ 70°):
2θ = 32.58°, I 100.0; 2θ = 29.86°, I 93.8; 2θ = 28.05°, I 92.4; 2θ = 38.32°, I 57.3; 2θ = 32.23°, I 50.5; 2θ = 37.62°, I 46.8; 2θ = 38.86°, I 35.2; 2θ = 55.74°, I 33.1; 2θ = 50.91°, I 30.1; 2θ = 28.66°, I 27.5

---

# RbTl10Cd3
Calculated X-ray powder pattern, a wavelength of 1.5418 Å. Input: a DFT-relaxed cell (PBE, Alexandria).
Neutral-atom scattering factors, no anomalous dispersion.

Cell and atoms:
Lattice parameters (Å, degrees): 15.5139 15.5139 15.5139 90.00 90.00 90.00
Space group Fm-3m (No. 225)
Asymmetric unit:
Rb1 0.2500 0.2500 0.2500 x8
Tl1 0.0000 0.1743 0.1743 x48
Tl2 0.1166 0.1166 0.3834 x32
Cd1 0.0000 0.0000 0.2670 x24

Main lines, most intense first (5° ≤ 2θ ≤ 70°):
2θ = 29.93°, I 100.0; 2θ = 34.19°, I 56.9; 2θ = 32.65°, I 33.5; 2θ = 58.27°, I 24.2; 2θ = 38.49°, I 24.0; 2θ = 16.16°, I 23.2; 2θ = 49.88°, I 21.6; 2θ = 34.69°, I 19.5; 2θ = 53.84°, I 17.1; 2θ = 25.68°, I 16.2